Calculated powder XRD pattern
Compound: Ta4S8Br
Radiation: Cu Kα (λ = 1.5418 Å)
Structure: DFT lattice parameters and positions (PBE)
Lines closer than 0.1° are merged.

Peak list (10 most intense, 2θ = 5–70°, by angle)
Position (°2θ), intensity
10.08, 100.0
20.25, 14.1
30.95, 17.2
32.63, 22.5
37.27, 36.9
44.06, 17.2
52.38, 12.5
55.06, 8.5
56.13, 8.1
68.37, 6.2

Structural model:
```
Ta4S8Br
1.0
6.672 0.000 0.000
-3.336 5.778 0.000
0.000 0.000 17.543
Ta S Br
8 16 2
direct
0.000 0.000 0.250
0.000 0.000 0.750
0.001 0.501 0.250
0.499 0.501 0.250
0.499 0.999 0.250
0.501 0.001 0.750
0.501 0.499 0.750
0.999 0.499 0.750
0.166 0.333 0.161
0.166 0.333 0.339
0.166 0.834 0.161
0.166 0.834 0.339
0.333 0.166 0.661
0.333 0.166 0.839
0.333 0.667 0.661
0.333 0.667 0.839
0.667 0.333 0.161
0.667 0.333 0.339
0.667 0.834 0.161
0.667 0.834 0.339
0.834 0.166 0.661
0.834 0.166 0.839
0.834 0.667 0.661
0.834 0.667 0.839
0.000 0.000 0.000
0.000 0.000 0.500
```

Calculated powder XRD pattern
Compound: Ta4S9Br8
Radiation: Cu Kα (λ = 1.5418 Å)
Structure: DFT lattice parameters and positions (PBE)
Lines closer than 0.1° are merged.

Peak list (10 most intense, 2θ = 5–70°, by angle)
Position (°2θ), intensity
9.19, 38.1
13.49, 100.0
18.45, 40.1
26.45, 17.4
29.58, 16.7
35.09, 26.3
39.75, 16.2
42.16, 14.6
43.44, 20.5
49.54, 19.0

Structural model:
```
Ta4S9Br8
1.0
-6.802 6.802 3.748
6.802 -6.802 3.748
6.802 6.802 -3.748
Ta S Br
4 9 8
direct
0.000 0.173 0.173
0.000 0.827 0.827
0.173 0.000 0.173
0.827 0.000 0.827
0.102 0.102 0.000
0.189 0.189 0.372
0.189 0.817 0.000
0.643 0.643 0.744
0.643 0.900 0.000
0.817 0.189 0.000
0.817 0.817 0.628
0.900 0.643 0.000
0.900 0.900 0.256
0.102 0.323 0.779
0.209 0.867 0.342
0.323 0.102 0.779
0.323 0.544 0.221
0.525 0.867 0.658
0.544 0.323 0.221
0.867 0.209 0.342
0.867 0.525 0.658
```

Calculated powder XRD pattern
Compound: TcS4Br
Radiation: Cu Kα (λ = 1.5418 Å)
Structure: DFT lattice parameters and positions (PBE)
Lines closer than 0.1° are merged.

Peak list (10 most intense, 2θ = 5–70°, by angle)
Position (°2θ), intensity
12.54, 100.0
14.59, 87.9
23.06, 41.1
26.51, 29.0
33.67, 42.0
38.29, 18.2
42.53, 22.9
43.17, 25.8
43.53, 25.6
59.10, 17.1

Structural model:
```
TcS4Br
1.0
3.716 -7.061 0.000
3.716 7.061 0.000
-2.747 0.000 5.842
Tc S Br
2 8 2
direct
0.001 0.999 0.750
0.999 0.001 0.250
0.079 0.821 0.473
0.159 0.295 0.110
0.179 0.921 0.027
0.295 0.159 0.610
0.705 0.841 0.390
0.821 0.079 0.973
0.841 0.705 0.890
0.921 0.179 0.527
0.364 0.636 0.750
0.636 0.364 0.250
```

Calculated powder XRD pattern
Compound: TcSBr3
Radiation: Cu Kα (λ = 1.5418 Å)
Structure: DFT lattice parameters and positions (PBE)
Lines closer than 0.1° are merged.

Peak list (10 most intense, 2θ = 5–70°, by angle)
Position (°2θ), intensity
12.64, 100.0
13.74, 89.8
28.23, 33.7
29.13, 13.1
31.55, 16.9
32.06, 13.0
35.86, 20.9
39.65, 13.9
42.47, 12.3
47.04, 20.7

Structural model:
```
TcSBr3
1.0
3.636 -7.004 0.000
3.636 7.004 0.000
-0.703 0.000 12.686
Tc S Br
4 4 12
direct
0.016 0.099 0.150
0.099 0.016 0.650
0.901 0.984 0.350
0.984 0.901 0.850
0.029 0.709 0.721
0.291 0.971 0.779
0.709 0.029 0.221
0.971 0.291 0.279
0.005 0.794 0.473
0.176 0.284 0.794
0.206 0.995 0.027
0.244 0.457 0.077
0.284 0.176 0.294
0.457 0.244 0.577
0.543 0.756 0.423
0.716 0.824 0.706
0.756 0.543 0.923
0.794 0.005 0.973
0.824 0.716 0.206
0.995 0.206 0.527
```

Calculated powder XRD pattern
Compound: TeS4Br4
Radiation: Cu Kα (λ = 1.5418 Å)
Structure: DFT lattice parameters and positions (PBE)
Lines closer than 0.1° are merged.

Peak list (10 most intense, 2θ = 5–70°, by angle)
Position (°2θ), intensity
10.35, 50.0
11.09, 36.5
14.14, 65.7
15.19, 100.0
15.87, 43.9
18.00, 18.8
24.52, 36.8
27.87, 25.1
30.66, 74.6
35.64, 21.7

Structural model:
```
TeS4Br4
1.0
8.709 0.000 0.000
0.000 7.980 0.000
-2.478 0.000 12.529
Te S Br
2 8 8
direct
0.000 0.027 0.250
0.000 0.973 0.750
0.094 0.004 0.055
0.094 0.996 0.555
0.486 0.480 0.926
0.486 0.520 0.426
0.514 0.480 0.574
0.514 0.520 0.074
0.906 0.004 0.445
0.906 0.996 0.945
0.219 0.242 0.314
0.219 0.758 0.814
0.221 0.224 0.703
0.221 0.776 0.203
0.779 0.224 0.797
0.779 0.776 0.297
0.781 0.242 0.186
0.781 0.758 0.686
```

Calculated powder XRD pattern
Compound: ThS8Br2
Radiation: Cu Kα (λ = 1.5418 Å)
Structure: DFT lattice parameters and positions (PBE)
Lines closer than 0.1° are merged.

Peak list (10 most intense, 2θ = 5–70°, by angle)
Position (°2θ), intensity
7.90, 100.0
15.83, 26.5
16.49, 38.3
17.05, 25.5
17.69, 25.1
18.04, 26.0
22.82, 27.2
25.90, 37.9
26.69, 32.1
27.11, 25.2

Structural model:
```
ThS8Br2
1.0
5.120 0.000 0.000
0.514 5.453 0.000
2.232 1.922 11.195
Th S Br
1 8 2
direct
0.000 0.000 0.000
0.106 0.472 0.069
0.125 0.939 0.733
0.466 0.860 0.802
0.481 0.824 0.134
0.519 0.176 0.866
0.534 0.140 0.198
0.875 0.061 0.267
0.894 0.528 0.931
0.191 0.264 0.578
0.809 0.736 0.422
```

Calculated powder XRD pattern
Compound: Tl5S2Br
Radiation: Cu Kα (λ = 1.5418 Å)
Structure: DFT lattice parameters and positions (PBE)
Lines closer than 0.1° are merged.

Peak list (10 most intense, 2θ = 5–70°, by angle)
Position (°2θ), intensity
24.81, 35.6
25.31, 68.9
26.10, 76.0
28.70, 88.9
29.03, 46.0
30.07, 100.0
30.69, 32.3
41.28, 36.1
42.52, 26.8
50.42, 30.7

Structural model:
```
Tl5S2Br
1.0
3.110 -6.404 0.000
3.110 6.404 0.000
0.000 0.000 14.030
Tl S Br
10 4 2
direct
0.058 0.942 0.625
0.058 0.942 0.875
0.262 0.738 0.250
0.360 0.640 0.523
0.360 0.640 0.977
0.640 0.360 0.023
0.640 0.360 0.477
0.738 0.262 0.750
0.942 0.058 0.125
0.942 0.058 0.375
0.152 0.848 0.064
0.152 0.848 0.436
0.848 0.152 0.564
0.848 0.152 0.936
0.338 0.662 0.750
0.662 0.338 0.250
```

Calculated powder XRD pattern
Compound: Tl5SBr4
Radiation: Cu Kα (λ = 1.5418 Å)
Structure: DFT lattice parameters and positions (PBE)
Lines closer than 0.1° are merged.

Peak list (10 most intense, 2θ = 5–70°, by angle)
Position (°2θ), intensity
23.48, 60.5
26.91, 100.0
27.72, 48.7
38.42, 34.9
39.02, 74.8
45.52, 13.9
48.03, 37.0
63.12, 13.4
64.37, 17.3
69.88, 18.4

Structural model:
```
Tl5SBr4
1.0
-5.239 5.239 3.218
5.239 -5.239 3.218
5.239 5.239 -3.218
Tl S Br
5 1 4
direct
0.000 0.000 0.000
0.227 0.589 0.814
0.413 0.227 0.638
0.589 0.775 0.362
0.775 0.413 0.186
0.503 0.503 0.000
0.100 0.300 0.399
0.300 0.902 0.201
0.701 0.100 0.799
0.902 0.701 0.601
```

Calculated powder XRD pattern
Compound: Tl8S3Br2
Radiation: Cu Kα (λ = 1.5418 Å)
Structure: DFT lattice parameters and positions (PBE)
Lines closer than 0.1° are merged.

Peak list (10 most intense, 2θ = 5–70°, by angle)
Position (°2θ), intensity
11.68, 9.4
23.49, 24.2
25.11, 30.2
25.78, 51.3
29.01, 100.0
39.57, 9.8
40.47, 21.1
42.49, 22.0
43.32, 12.9
52.99, 11.6

Structural model:
```
Tl8S3Br2
1.0
7.923 -4.177 0.000
7.923 4.177 0.000
-2.173 0.000 7.093
Tl S Br
8 3 2
direct
0.098 0.098 0.253
0.132 0.656 0.275
0.344 0.868 0.725
0.386 0.386 0.758
0.614 0.614 0.242
0.656 0.132 0.275
0.868 0.344 0.725
0.902 0.902 0.747
0.250 0.750 0.000
0.500 0.500 0.500
0.750 0.250 0.000
0.256 0.256 0.085
0.744 0.744 0.915
```

Calculated powder XRD pattern
Compound: Tl4SBr2
Radiation: Cu Kα (λ = 1.5418 Å)
Structure: DFT lattice parameters and positions (PBE)
Lines closer than 0.1° are merged.

Peak list (10 most intense, 2θ = 5–70°, by angle)
Position (°2θ), intensity
10.49, 14.4
21.67, 12.8
23.49, 58.2
29.85, 100.0
31.84, 14.5
42.66, 18.7
44.17, 23.8
49.27, 16.7
52.96, 20.9
54.20, 13.2

Structural model:
```
Tl4SBr2
1.0
-2.997 2.997 8.432
2.997 -2.997 8.432
2.997 2.997 -8.432
Tl S Br
4 1 2
direct
0.000 0.500 0.500
0.168 0.168 0.000
0.500 0.000 0.500
0.832 0.832 0.000
0.000 0.000 0.000
0.375 0.375 0.000
0.625 0.625 0.000
```

Calculated powder XRD pattern
Compound: Y3SBr3
Radiation: Cu Kα (λ = 1.5418 Å)
Structure: DFT lattice parameters and positions (PBE)
Lines closer than 0.1° are merged.

Peak list (10 most intense, 2θ = 5–70°, by angle)
Position (°2θ), intensity
8.34, 30.8
16.73, 15.8
26.16, 24.1
31.22, 100.0
36.65, 16.3
43.27, 26.1
46.16, 29.6
50.74, 8.5
56.78, 17.3
65.12, 7.5

Structural model:
```
Y3SBr3
1.0
3.406 1.967 10.596
-3.406 1.967 10.596
0.000 -3.933 10.596
Y S Br
6 2 6
direct
0.046 0.385 0.707
0.293 0.954 0.615
0.385 0.707 0.046
0.615 0.293 0.954
0.707 0.046 0.385
0.954 0.615 0.293
0.333 0.333 0.333
0.667 0.667 0.667
0.104 0.773 0.435
0.227 0.565 0.896
0.435 0.104 0.773
0.565 0.896 0.227
0.773 0.435 0.104
0.896 0.227 0.565
```

Calculated powder XRD pattern
Compound: YSBr
Radiation: Cu Kα (λ = 1.5418 Å)
Structure: DFT lattice parameters and positions (PBE)
Lines closer than 0.1° are merged.

Peak list (10 most intense, 2θ = 5–70°, by angle)
Position (°2θ), intensity
9.15, 68.8
18.88, 100.0
26.71, 24.4
30.15, 19.4
30.79, 40.5
33.05, 25.7
33.31, 34.6
37.17, 21.3
41.77, 18.7
45.99, 25.4

Structural model:
```
YSBr
1.0
4.077 0.000 0.000
0.000 5.379 0.000
-1.371 0.000 9.666
Y S Br
2 2 2
direct
0.210 0.250 0.380
0.790 0.750 0.620
0.226 0.750 0.429
0.774 0.250 0.571
0.359 0.750 0.824
0.641 0.250 0.176
```